# 1
Theoretical X-ray diffraction stick pattern
Compound: Tl2In3Hg6
Radiation: Cu Kα
Structure: a DFT-relaxed cell (GGA-PBE, Alexandria)

Top 10 peaks for 15 to 90 degrees two-theta, by angle:
2theta  I_rel
28.76  100
40.74  41
41.51  34
50.63  21
51.93  5
59.57  12
66.92  19
68.02  13
74.15  7
74.68  12

Crystal structure
```
data_Tl2In3Hg6
_symmetry_space_group_name_H-M 'P 1'
_symmetry_Int_Tables_number 1
_symmetry_space_group_name_Hall 'P 1'
_cell_length_a 19.535
_cell_length_b 19.535
_cell_length_c 19.535
_cell_angle_alpha 13.02
_cell_angle_beta 13.02
_cell_angle_gamma 13.02
loop_
_atom_site_label
_atom_site_fract_x
_atom_site_fract_y
_atom_site_fract_z
Tl1 0.048 0.048 0.048
Tl2 0.952 0.952 0.952
In1 0.224 0.224 0.224
In2 0.500 0.500 0.500
In3 0.776 0.776 0.776
Hg1 0.138 0.138 0.138
Hg2 0.319 0.319 0.319
Hg3 0.414 0.414 0.414
Hg4 0.586 0.586 0.586
Hg5 0.681 0.681 0.681
Hg6 0.862 0.862 0.862
```

---

# 2
Theoretical X-ray diffraction stick pattern
Compound: Cs2GaAg2
Radiation: Cu Kα
Structure: a DFT-relaxed cell (GGA-PBE, Alexandria)

Top 10 peaks for 15 to 90 degrees two-theta, by angle:
2theta  I_rel
21.65  91
23.37  57
28.25  68
30.04  66
31.33  35
37.68  100
38.52  38
44.81  59
47.79  27
49.78  55

Crystal structure
```
data_Cs2GaAg2
_symmetry_space_group_name_H-M 'P 1'
_symmetry_Int_Tables_number 1
_symmetry_space_group_name_Hall 'P 1'
_cell_length_a 4.775
_cell_length_b 4.775
_cell_length_c 34.264
_cell_angle_alpha 90.00
_cell_angle_beta 90.00
_cell_angle_gamma 120.00
loop_
_atom_site_label
_atom_site_fract_x
_atom_site_fract_y
_atom_site_fract_z
Cs1 0.000 0.000 0.074
Cs2 0.000 0.000 0.926
Cs3 0.333 0.667 0.592
Cs4 0.333 0.667 0.741
Cs5 0.667 0.333 0.259
Cs6 0.667 0.333 0.408
Ga1 0.000 0.000 0.500
Ga2 0.333 0.667 0.167
Ga3 0.667 0.333 0.833
Ag1 0.000 0.000 0.177
Ag2 0.000 0.000 0.823
Ag3 0.333 0.667 0.490
Ag4 0.333 0.667 0.843
Ag5 0.667 0.333 0.157
Ag6 0.667 0.333 0.510
```

---

# 3
Theoretical X-ray diffraction stick pattern
Compound: Pr6Dy2HoSc
Radiation: Cu Kα
Structure: a DFT-relaxed cell (GGA-PBE, Alexandria)

Top 10 peaks for 15 to 90 degrees two-theta, by angle:
2theta  I_rel
26.56  57
28.83  31
29.90  100
31.12  56
31.72  42
32.04  25
32.52  27
32.81  36
35.72  26
54.62  23

Crystal structure
```
data_Pr6Dy2HoSc
_symmetry_space_group_name_H-M 'P 1'
_symmetry_Int_Tables_number 1
_symmetry_space_group_name_Hall 'P 1'
_cell_length_a 6.400
_cell_length_b 6.400
_cell_length_c 9.030
_cell_angle_alpha 100.25
_cell_angle_beta 100.25
_cell_angle_gamma 72.68
loop_
_atom_site_label
_atom_site_fract_x
_atom_site_fract_y
_atom_site_fract_z
Pr1 0.085 0.649 0.717
Pr2 0.342 0.342 0.056
Pr3 0.351 0.915 0.283
Pr4 0.649 0.085 0.717
Pr5 0.658 0.658 0.944
Pr6 0.915 0.351 0.283
Dy1 0.130 0.130 0.639
Dy2 0.870 0.870 0.361
Ho1 0.500 0.500 0.500
Sc1 0.000 0.000 0.000
```

---

# 4
Theoretical X-ray diffraction stick pattern
Compound: Cs2Hf3Se6
Radiation: Cu Kα
Structure: a DFT-relaxed cell (GGA-PBE, Alexandria)

Top 10 peaks for 15 to 90 degrees two-theta, by angle:
2theta  I_rel
20.47  14
30.25  100
36.30  20
38.78  35
44.24  13
47.18  12
47.50  32
56.76  12
57.36  16
77.59  13

Crystal structure
```
data_Cs2Hf3Se6
_symmetry_space_group_name_H-M 'P 1'
_symmetry_Int_Tables_number 1
_symmetry_space_group_name_Hall 'P 1'
_cell_length_a 6.631
_cell_length_b 6.631
_cell_length_c 8.955
_cell_angle_alpha 97.09
_cell_angle_beta 97.09
_cell_angle_gamma 120.00
loop_
_atom_site_label
_atom_site_fract_x
_atom_site_fract_y
_atom_site_fract_z
Cs1 0.167 0.833 0.000
Cs2 0.833 0.167 0.000
Hf1 0.000 0.000 0.500
Hf2 0.333 0.667 0.500
Hf3 0.667 0.333 0.500
Se1 0.064 0.394 0.682
Se2 0.276 0.276 0.318
Se3 0.394 0.064 0.682
Se4 0.606 0.936 0.318
Se5 0.724 0.724 0.682
Se6 0.936 0.606 0.318
```

---

# 5
Theoretical X-ray diffraction stick pattern
Compound: HfNi3Au
Radiation: Cu Kα
Structure: a DFT-relaxed cell (GGA-PBE, Alexandria)

Top 10 peaks for 15 to 90 degrees two-theta, by angle:
2theta  I_rel
29.22  69
37.05  20
37.83  100
40.28  45
42.56  46
44.34  32
45.52  47
46.14  36
62.89  24
78.30  26

Crystal structure
```
data_HfNi3Au
_symmetry_space_group_name_H-M 'P 1'
_symmetry_Int_Tables_number 1
_symmetry_space_group_name_Hall 'P 1'
_cell_length_a 3.935
_cell_length_b 4.853
_cell_length_c 7.571
_cell_angle_alpha 90.00
_cell_angle_beta 90.00
_cell_angle_gamma 90.00
loop_
_atom_site_label
_atom_site_fract_x
_atom_site_fract_y
_atom_site_fract_z
Hf1 0.000 0.000 0.000
Hf2 0.500 0.500 0.500
Ni1 0.000 0.259 0.303
Ni2 0.000 0.500 0.838
Ni3 0.000 0.741 0.303
Ni4 0.500 0.000 0.338
Ni5 0.500 0.241 0.803
Ni6 0.500 0.759 0.803
Au1 0.000 0.000 0.610
Au2 0.500 0.500 0.110
```

---

# 6
Theoretical X-ray diffraction stick pattern
Compound: Li3BiAs
Radiation: Cu Kα
Structure: a DFT-relaxed cell (GGA-PBE, Alexandria)

Top 10 peaks for 15 to 90 degrees two-theta, by angle:
2theta  I_rel
19.74  29
22.82  100
32.53  42
38.31  12
40.09  52
46.63  47
58.00  16
63.15  25
68.09  16
72.86  12

Crystal structure
```
data_Li3BiAs
_symmetry_space_group_name_H-M 'P 1'
_symmetry_Int_Tables_number 1
_symmetry_space_group_name_Hall 'P 1'
_cell_length_a 6.033
_cell_length_b 6.033
_cell_length_c 6.033
_cell_angle_alpha 80.46
_cell_angle_beta 80.46
_cell_angle_gamma 80.46
loop_
_atom_site_label
_atom_site_fract_x
_atom_site_fract_y
_atom_site_fract_z
Li1 0.053 0.288 0.659
Li2 0.159 0.788 0.553
Li3 0.288 0.659 0.053
Li4 0.553 0.159 0.788
Li5 0.659 0.053 0.288
Li6 0.788 0.553 0.159
Bi1 0.163 0.163 0.163
Bi2 0.663 0.663 0.663
As1 0.428 0.428 0.428
As2 0.928 0.928 0.928
```

---

# 7
Theoretical X-ray diffraction stick pattern
Compound: NdHo2IrO8
Radiation: Cu Kα
Structure: a DFT-relaxed cell (GGA-PBE, Alexandria)

Top 10 peaks for 15 to 90 degrees two-theta, by angle:
2theta  I_rel
24.82  54
24.94  55
31.47  100
35.47  29
48.07  37
48.21  38
59.71  19
61.15  11
61.26  11
65.69  12

Crystal structure
```
data_NdHo2IrO8
_symmetry_space_group_name_H-M 'P 1'
_symmetry_Int_Tables_number 1
_symmetry_space_group_name_Hall 'P 1'
_cell_length_a 5.056
_cell_length_b 6.871
_cell_length_c 5.067
_cell_angle_alpha 90.00
_cell_angle_beta 90.27
_cell_angle_gamma 90.00
loop_
_atom_site_label
_atom_site_fract_x
_atom_site_fract_y
_atom_site_fract_z
Nd1 0.000 0.000 0.000
Ho1 0.500 0.249 0.500
Ho2 0.500 0.751 0.500
Ir1 0.000 0.500 0.000
O1 0.188 0.296 0.186
O2 0.188 0.704 0.186
O3 0.266 0.500 0.731
O4 0.315 0.000 0.682
O5 0.685 0.000 0.318
O6 0.734 0.500 0.269
O7 0.812 0.296 0.814
O8 0.812 0.704 0.814
```

---

# 8
Theoretical X-ray diffraction stick pattern
Compound: HgP2RhO8
Radiation: Cu Kα
Structure: a DFT-relaxed cell (GGA-PBE, Alexandria)

Top 10 peaks for 15 to 90 degrees two-theta, by angle:
2theta  I_rel
23.13  45
24.10  15
27.06  100
38.02  36
39.26  28
40.00  13
45.52  31
47.28  19
62.21  18
63.96  18

Crystal structure
```
data_HgP2RhO8
_symmetry_space_group_name_H-M 'P 1'
_symmetry_Int_Tables_number 1
_symmetry_space_group_name_Hall 'P 1'
_cell_length_a 7.874
_cell_length_b 7.874
_cell_length_c 7.874
_cell_angle_alpha 34.99
_cell_angle_beta 34.99
_cell_angle_gamma 34.99
loop_
_atom_site_label
_atom_site_fract_x
_atom_site_fract_y
_atom_site_fract_z
Hg1 0.000 0.000 0.000
P1 0.243 0.243 0.243
P2 0.757 0.757 0.757
Rh1 0.500 0.500 0.500
O1 0.097 0.768 0.471
O2 0.232 0.529 0.903
O3 0.313 0.313 0.313
O4 0.471 0.097 0.768
O5 0.529 0.903 0.232
O6 0.687 0.687 0.687
O7 0.768 0.471 0.097
O8 0.903 0.232 0.529
```

---

Please write out number 1 again, unchanged.
Theoretical X-ray diffraction stick pattern
Compound: Tl2In3Hg6
Radiation: Cu Kα
Structure: a DFT-relaxed cell (GGA-PBE, Alexandria)

Top 10 peaks for 15 to 90 degrees two-theta, by angle:
2theta  I_rel
28.76  100
40.74  41
41.51  34
50.63  21
51.93  5
59.57  12
66.92  19
68.02  13
74.15  7
74.68  12

Crystal structure
```
data_Tl2In3Hg6
_symmetry_space_group_name_H-M 'P 1'
_symmetry_Int_Tables_number 1
_symmetry_space_group_name_Hall 'P 1'
_cell_length_a 19.535
_cell_length_b 19.535
_cell_length_c 19.535
_cell_angle_alpha 13.02
_cell_angle_beta 13.02
_cell_angle_gamma 13.02
loop_
_atom_site_label
_atom_site_fract_x
_atom_site_fract_y
_atom_site_fract_z
Tl1 0.048 0.048 0.048
Tl2 0.952 0.952 0.952
In1 0.224 0.224 0.224
In2 0.500 0.500 0.500
In3 0.776 0.776 0.776
Hg1 0.138 0.138 0.138
Hg2 0.319 0.319 0.319
Hg3 0.414 0.414 0.414
Hg4 0.586 0.586 0.586
Hg5 0.681 0.681 0.681
Hg6 0.862 0.862 0.862
```